Starting from a structure optimized by DFT (GGA-PBE), the powder XRD pattern of V12TcGe3 was calculated for Cu Kα.

Structure:
abc: 4.7646 4.7648 9.5415
angles: 90.00 90.00 90.00
Space group Pmmm (No. 47)
Asymmetric unit:
V  0.0000  0.0000  0.1215 x2
V  0.0000  0.0000  0.3715 x2
V  0.2464  0.5000  0.5000 x2
V  0.2513  0.5000  0.0000 x2
V  0.5000  0.2466  0.2487 x4
Tc  0.5000  0.0000  0.0000 x1
Ge  0.0000  0.5000  0.2515 x2
Ge  0.5000  0.0000  0.5000 x1

Largest 10 diffraction maxima, low angle first, 2θ = 10–90°:
26.44°, rel. 132
37.74°, rel. 471
42.40°, rel. 761
46.68°, rel. 1000
54.44°, rel. 21
61.52°, rel. 30
71.34°, rel. 139
74.48°, rel. 463
80.54°, rel. 45
80.66°, rel. 91


Starting from a structure optimized by DFT (GGA-PBE), the powder XRD pattern of VTcGe was calculated for Cu Kα.

Structure:
abc: 4.2972 4.2972 2.7290
angles: 90.00 90.00 120.00
Space group P3m1 (No. 156)
Asymmetric unit:
V  0.0000  0.0000  0.0000 x1
Tc  0.6667  0.3333  0.3617 x1
Ge  0.3333  0.6667  0.4777 x1

Largest 10 diffraction maxima, low angle first, 2θ = 10–90°:
23.91°, rel. 166
32.82°, rel. 205
41.01°, rel. 826
42.05°, rel. 1000
54.34°, rel. 293
60.19°, rel. 253
73.99°, rel. 103
76.14°, rel. 245
76.85°, rel. 158
84.03°, rel. 126


Starting from a structure optimized by DFT (GGA-PBE), the powder XRD pattern of YTc4Ge4 was calculated for Cu Kα.

Structure:
abc: 6.1954 6.1954 8.1919
angles: 90.00 90.00 90.00
Space group P4_2/nmc (No. 137, origin choice 2)
Asymmetric unit:
Y  0.2500  0.7500  0.2500 x2
Tc  0.9995  0.2500  0.1284 x8
Ge  0.0473  0.2500  0.4301 x8

Largest 10 diffraction maxima, low angle first, 2θ = 10–90°:
17.95°, rel. 269
34.16°, rel. 1000
35.94°, rel. 492
41.21°, rel. 494
44.22°, rel. 436
46.71°, rel. 279
55.81°, rel. 316
59.70°, rel. 250
62.04°, rel. 261
89.51°, rel. 180


Starting from a structure optimized by DFT (GGA-PBE), the powder XRD pattern of Y4TcGe8 was calculated for Cu Kα.

Structure:
abc: 4.0283 4.2158 16.1257
angles: 90.00 90.00 90.00
Space group Pmm2 (No. 25)
Asymmetric unit:
Y  0.0000  0.0000  0.0000 x1
Y  0.0000  0.5000  0.4830 x1
Y  0.5000  0.0000  0.7950 x1
Y  0.5000  0.5000  0.2844 x1
Tc  0.0000  0.5000  0.6993 x1
Ge  0.0000  0.0000  0.3300 x1
Ge  0.0000  0.0000  0.6203 x1
Ge  0.0000  0.5000  0.1393 x1
Ge  0.0000  0.5000  0.8536 x1
Ge  0.5000  0.0000  0.1449 x1
Ge  0.5000  0.0000  0.4383 x1
Ge  0.5000  0.5000  0.6162 x1
Ge  0.5000  0.5000  0.9577 x1

Largest 10 diffraction maxima, low angle first, 2θ = 10–90°:
33.34°, rel. 121
35.04°, rel. 1000
40.34°, rel. 124
42.90°, rel. 200
45.01°, rel. 177
55.41°, rel. 72
60.35°, rel. 74
63.93°, rel. 121
73.52°, rel. 109
76.54°, rel. 87


Starting from a structure optimized by DFT (GGA-PBE), the powder XRD pattern of Ge5Te6 was calculated for Cu Kα.

Structure:
abc: 7.1296 12.6458 7.2375
angles: 90.00 109.26 90.00
Space group C2/m (No. 12)
Asymmetric unit:
Ge  0.0000  0.0000  0.0000 x2
Ge  0.0000  0.1552  0.5000 x4
Ge  0.0000  0.3138  0.0000 x4
Te  0.2444  0.3360  0.7462 x8
Te  0.2472  0.5000  0.2478 x4

Largest 10 diffraction maxima, low angle first, 2θ = 10–90°:
26.06°, rel. 262
30.19°, rel. 1000
30.53°, rel. 499
42.91°, rel. 176
43.21°, rel. 372
43.53°, rel. 186
43.73°, rel. 359
53.57°, rel. 184
53.66°, rel. 100
62.78°, rel. 112


Starting from a structure optimized by DFT (GGA-PBE), the powder XRD pattern of Ge3Te8 was calculated for Cu Kα.

Structure:
abc: 10.0477 10.0477 11.5013
angles: 90.00 90.00 120.00
Space group R-3 (No. 148, hexagonal axes)
Asymmetric unit:
Ge  0.0000  0.5000  0.0000 x9
Te  0.0000  0.0000  0.3789 x6
Te  0.0230  0.7817  0.8874 x18

Largest 10 diffraction maxima, low angle first, 2θ = 10–90°:
25.68°, rel. 276
28.22°, rel. 1000
29.30°, rel. 542
31.33°, rel. 883
32.80°, rel. 463
43.05°, rel. 347
44.55°, rel. 241
46.15°, rel. 288
47.91°, rel. 301
48.27°, rel. 290


Starting from a structure optimized by DFT (GGA-PBE), the powder XRD pattern of GeTe was calculated for Cu Kα.

Structure:
abc: 4.1016 10.7907 8.8790
angles: 90.00 90.00 90.00
Space group Amm2 (No. 38)
Asymmetric unit:
Ge  0.0000  0.0000  0.0000 x2
Ge  0.5000  0.2321  0.3012 x4
Te  0.0000  0.2234  0.5078 x4
Te  0.5000  0.0000  0.7849 x2

Largest 10 diffraction maxima, low angle first, 2θ = 10–90°:
12.91°, rel. 312
16.43°, rel. 207
26.74°, rel. 321
29.65°, rel. 1000
33.21°, rel. 309
34.67°, rel. 209
40.64°, rel. 174
44.16°, rel. 199
45.11°, rel. 491
45.43°, rel. 197


Starting from a structure optimized by DFT (GGA-PBE), the powder XRD pattern of GeTe was calculated for Cu Kα.

Structure:
abc: 14.4674 10.5483 4.0593
angles: 90.00 90.00 90.00
Space group Pbcn (No. 60)
Asymmetric unit:
Ge  0.2473  0.1042  0.0101 x8
Te  0.1294  0.1840  0.5097 x8

Largest 10 diffraction maxima, low angle first, 2θ = 10–90°:
10.38°, rel. 434
12.24°, rel. 835
16.81°, rel. 249
26.08°, rel. 277
26.56°, rel. 1000
29.96°, rel. 312
33.49°, rel. 760
41.30°, rel. 395
42.00°, rel. 492
44.54°, rel. 266